1.
For NaCrSeS, a cell relaxed with GGA-PBE gives the theoretical XRD peak list in this record (Cu Kα X-rays).

Cell and atoms:
a b c (Å): 3.672 3.672 20.250
angles (deg): 90.00 90.00 120.00
Atoms (fractional coordinates):
Na 0.000 0.000 0.000
Na 0.333 0.667 0.667
Na 0.667 0.333 0.333
Cr 0.000 0.000 0.823
Cr 0.333 0.667 0.489
Cr 0.667 0.333 0.156
Se 0.000 0.000 0.226
Se 0.333 0.667 0.892
Se 0.667 0.333 0.559
S 0.000 0.000 0.428
S 0.333 0.667 0.095
S 0.667 0.333 0.761

The 8 most intense peaks (10° ≤ 2θ ≤ 90°), in order of rising 2θ:
2θ 13.12, I 68; 2θ 28.41, I 16; 2θ 29.44, I 31; 2θ 33.27, I 19; 2θ 35.91, I 100; 2θ 49.66, I 40; 2θ 53.66, I 24; 2θ 62.79, I 18

2.
For Na3CrSn3S8, a cell relaxed with GGA-PBE gives the theoretical XRD peak list in this record (Cu Kα X-rays).

Cell and atoms:
a b c (Å): 7.589 7.589 8.127
angles (deg): 117.91 117.91 59.87
Atoms (fractional coordinates):
Na 0.000 0.000 0.000
Na 0.000 0.500 0.000
Na 0.500 0.000 0.000
Cr 0.000 0.000 0.500
Sn 0.000 0.500 0.500
Sn 0.500 0.000 0.500
Sn 0.500 0.500 0.500
S 0.217 0.217 0.698
S 0.218 0.763 0.698
S 0.237 0.782 0.302
S 0.256 0.256 0.266
S 0.744 0.744 0.734
S 0.763 0.218 0.698
S 0.782 0.237 0.302
S 0.783 0.783 0.302

The 8 most intense peaks (10° ≤ 2θ ≤ 90°), in order of rising 2θ:
2θ 12.94, I 97; 2θ 27.51, I 29; 2θ 28.54, I 14; 2θ 32.37, I 100; 2θ 41.29, I 15; 2θ 44.84, I 34; 2θ 47.98, I 32; 2θ 49.88, I 12

3.
For NaCrTeS, a cell relaxed with GGA-PBE gives the theoretical XRD peak list in this record (Cu Kα X-rays).

Cell and atoms:
a b c (Å): 3.691 3.691 7.523
angles (deg): 90.00 90.00 120.00
Atoms (fractional coordinates):
Na 0.000 0.000 0.000
Cr 0.667 0.333 0.580
Te 0.333 0.667 0.342
S 0.333 0.667 0.755

The 8 most intense peaks (10° ≤ 2θ ≤ 90°), in order of rising 2θ:
2θ 11.76, I 79; 2θ 27.91, I 48; 2θ 30.38, I 75; 2θ 36.90, I 100; 2θ 46.00, I 34; 2θ 49.38, I 35; 2θ 63.21, I 19; 2θ 84.16, I 17